No. 1
# Li9Mn2Co5O16
Theoretical X-ray diffraction stick pattern, Cu Ka. Input: a structure optimized by DFT (PBE+U).
Peak positions follow from Bragg's law for the DFT cell and can differ from measured ones.

Atomic structure:
Lattice parameters (Å, degrees): 19.327 19.327 5.199 90.95 90.95 8.56
Positions (direct):
Li: 0.000 0.000 0.000
Li: 0.127 0.127 0.376
Li: 0.253 0.253 0.764
Li: 0.313 0.313 0.437
Li: 0.372 0.372 0.112
Li: 0.501 0.501 0.499
Li: 0.626 0.626 0.874
Li: 0.753 0.753 0.255
Li: 0.873 0.873 0.618
Mn: 0.563 0.563 0.188
Mn: 0.937 0.937 0.309
Co: 0.063 0.063 0.688
Co: 0.189 0.189 0.065
Co: 0.438 0.438 0.808
Co: 0.689 0.689 0.565
Co: 0.813 0.813 0.937
O: 0.034 0.034 0.324
O: 0.092 0.092 0.051
O: 0.160 0.160 0.719
O: 0.218 0.218 0.407
O: 0.286 0.286 0.078
O: 0.340 0.340 0.796
O: 0.408 0.408 0.447
O: 0.467 0.467 0.175
O: 0.535 0.535 0.817
O: 0.592 0.592 0.558
O: 0.660 0.660 0.222
O: 0.717 0.717 0.910
O: 0.786 0.786 0.647
O: 0.840 0.840 0.229
O: 0.910 0.910 0.940
O: 0.966 0.966 0.677

Peak list (8 most intense, 2θ from 15° to 90°, in order of rising 2θ)
- 18.4 deg, intensity 1000
- 34.9 deg, intensity 171
- 36.2 deg, intensity 249
- 42.3 deg, intensity 302
- 44.1 deg, intensity 536
- 47.5 deg, intensity 99
- 62.6 deg, intensity 153
- 62.9 deg, intensity 156

No. 2
# Li9Mn2Co5O16
Theoretical X-ray diffraction stick pattern, Cu Ka. Input: a structure optimized by DFT (PBE+U).
Peak positions follow from Bragg's law for the DFT cell and can differ from measured ones.

Atomic structure:
Lattice parameters (Å, degrees): 5.144 7.675 7.768 97.78 102.15 102.97
Positions (direct):
Li: 0.000 0.000 0.000
Li: 0.000 0.377 0.117
Li: 0.002 0.873 0.618
Li: 0.003 0.127 0.365
Li: 0.006 0.495 0.493
Li: 0.013 0.257 0.754
Li: 0.502 0.498 0.992
Li: 0.995 0.744 0.236
Li: 0.997 0.617 0.878
Mn: 0.500 0.000 0.492
Mn: 0.502 0.747 0.747
Co: 0.496 0.253 0.233
Co: 0.498 0.375 0.625
Co: 0.504 0.615 0.358
Co: 0.504 0.868 0.119
Co: 0.507 0.126 0.873
O: 0.267 0.639 0.127
O: 0.268 0.377 0.373
O: 0.269 0.514 0.739
O: 0.272 0.122 0.612
O: 0.273 0.236 0.001
O: 0.276 0.000 0.260
O: 0.286 0.760 0.505
O: 0.287 0.882 0.867
O: 0.719 0.991 0.730
O: 0.723 0.238 0.490
O: 0.725 0.626 0.628
O: 0.727 0.878 0.374
O: 0.729 0.354 0.861
O: 0.733 0.754 0.977
O: 0.737 0.116 0.120
O: 0.742 0.503 0.262

Peak list (8 most intense, 2θ from 15° to 90°, in order of rising 2θ)
- 18.3 deg, intensity 1000
- 35.9 deg, intensity 149
- 35.9 deg, intensity 135
- 43.3 deg, intensity 280
- 43.4 deg, intensity 277
- 44.0 deg, intensity 265
- 63.2 deg, intensity 147
- 64.0 deg, intensity 143